Cu3HPt: simulated PXRD pattern (Cu Ka), based on DFT lattice parameters and positions (PBE).

Largest 6 diffraction maxima, by angle, 5 to 70 degrees two-theta:
Position (°2θ), d/Å, I_rel, hkl
23.55, 3.778, 29, 1 0 0
33.55, 2.671, 26, 1 1 0
41.40, 2.181, 100, 1 1 1
48.17, 1.889, 48, 2 0 0
54.30, 1.690, 13, 2 1 0
59.98, 1.542, 10, 2 1 1

Atomic structure:
Cell: 3.7779 3.7779 3.7779 Å, 90.00 90.00 90.00°
Space group Pm-3m (No. 221)
Symmetry-distinct sites (fractional):
1 Cu 0.0000 0.0000 0.5000
2 H 0.0000 0.0000 0.0000
3 Pt 0.5000 0.5000 0.5000